[1]
Diffraction record for YGaAu2. The powder diffraction line list is calculated, not measured: it uses a cell relaxed with GGA-PBE and CuKα.
Lines closer than 0.1° are merged.

Main lines, sorted by position (2θ = 10–90°):
25.9°, I = 21, hkl 2 0 0; 36.9°, I = 100, hkl 2 2 0; 45.7°, I = 7, hkl 2 2 2; 53.2°, I = 18, hkl 4 0 0; 60.1°, I = 9, hkl 4 2 0; 66.6°, I = 36, hkl 4 2 2; 78.6°, I = 11, hkl 4 4 0; 84.5°, I = 5, hkl 6 0 0

a = 6.882 Å, b = 6.882 Å, c = 6.882 Å
α = 90.00°, β = 90.00°, γ = 90.00°
Space group Fm-3m (No. 225)
Unique sites:
Y  0.000  0.000  0.000
Ga  0.000  0.000  0.500
Au  0.250  0.250  0.250

***

[2]
Diffraction record for YGaAu. The powder diffraction line list is calculated, not measured: it uses a cell relaxed with GGA-PBE and CuKα.
Lines closer than 0.1° are merged.

Main lines, sorted by position (2θ = 10–90°):
16.9°, I = 20, hkl 2 0 -1; 23.3°, I = 29, hkl 1 1 -1; 24.9°, I = 19, hkl 2 0 -2; 32.6°, I = 37, hkl 1 1 1; 33.6°, I = 26, hkl 0 0 2; 33.8°, I = 19, hkl 1 1 -2; 34.1°, I = 52, hkl 3 1 -2; 34.2°, I = 14, hkl 4 0 -2; 39.6°, I = 13, hkl 4 0 -3; 39.9°, I = 100, hkl 0 2 0; 53.1°, I = 14, hkl 0 2 2; 72.4°, I = 14, hkl 3 3 0

a = 10.537 Å, b = 4.522 Å, c = 7.160 Å
α = 90.00°, β = 131.92°, γ = 90.00°
Space group C2/m (No. 12)
Unique sites:
Y  0.037  0.000  0.297
Ga  0.158  0.500  0.107
Au  0.178  0.500  0.718

***

[3]
Diffraction record for Gd3Au. The powder diffraction line list is calculated, not measured: it uses a cell relaxed with GGA-PBE and CuKα.
Lines closer than 0.1° are merged.

Main lines, sorted by position (2θ = 10–90°):
18.5°, I = 1, hkl 1 0 0; 26.2°, I = 1, hkl 1 1 0; 32.3°, I = 100, hkl 1 1 1; 37.5°, I = 50, hkl 2 0 0; 42.1°, I = 1, hkl 2 1 0; 46.3°, I = 1, hkl 2 1 1; 54.0°, I = 35, hkl 2 2 0; 64.3°, I = 42, hkl 3 1 1; 67.6°, I = 12, hkl 2 2 2; 79.9°, I = 6, hkl 4 0 0; 88.8°, I = 18, hkl 3 3 1

a = 4.802 Å, b = 4.802 Å, c = 4.802 Å
α = 90.00°, β = 90.00°, γ = 90.00°
Space group Pm-3m (No. 221)
Unique sites:
Gd  0.000  0.000  0.500
Au  0.500  0.500  0.500

***

[4]
Diffraction record for GdInAu. The powder diffraction line list is calculated, not measured: it uses a cell relaxed with GGA-PBE and CuKα.
Lines closer than 0.1° are merged.

Main lines, sorted by position (2θ = 10–90°):
22.8°, I = 17, hkl 1 1 0; 25.6°, I = 11, hkl 1 0 1; 31.8°, I = 75, hkl 1 1 1; 34.5°, I = 100, hkl 2 0 1; 35.1°, I = 32, hkl 2 1 0; 40.0°, I = 48, hkl 3 0 0; 41.8°, I = 40, hkl 2 1 1; 44.6°, I = 26, hkl 0 0 2; 58.0°, I = 15, hkl 2 1 2; 61.4°, I = 27, hkl 3 0 2; 64.3°, I = 34, hkl 3 2 1; 73.9°, I = 11, hkl 5 0 1

a = 7.8060 Å, b = 7.8060 Å, c = 4.0638 Å
α = 90.00°, β = 90.00°, γ = 120.00°
Space group P-62m (No. 189)
Unique sites:
Gd  0.0000  0.4081  0.0000
In  0.0000  0.7428  0.5000
Au  0.0000  0.0000  0.0000
Au  0.3333  0.6667  0.5000

***

[5]
Diffraction record for Gd2IrAu. The powder diffraction line list is calculated, not measured: it uses a cell relaxed with GGA-PBE and CuKα.
Lines closer than 0.1° are merged.

Main lines, sorted by position (2θ = 10–90°):
25.1°, I = 1, hkl 2 0 0; 35.8°, I = 100, hkl 2 2 0; 51.5°, I = 18, hkl 4 0 0; 58.1°, I = 1, hkl 4 2 0; 64.3°, I = 37, hkl 4 2 2; 75.8°, I = 12, hkl 4 4 0; 86.8°, I = 17, hkl 6 2 0

a = 7.099 Å, b = 7.099 Å, c = 7.099 Å
α = 90.00°, β = 90.00°, γ = 90.00°
Space group Fm-3m (No. 225)
Unique sites:
Gd  0.250  0.250  0.250
Ir  0.000  0.000  0.000
Au  0.000  0.000  0.500

***

[6]
Diffraction record for GdMgAu2. The powder diffraction line list is calculated, not measured: it uses a cell relaxed with GGA-PBE and CuKα.
Lines closer than 0.1° are merged.

Main lines, sorted by position (2θ = 10–90°):
22.0°, I = 12, hkl 1 1 1; 25.4°, I = 17, hkl 2 0 0; 36.3°, I = 100, hkl 2 2 0; 42.8°, I = 6, hkl 3 1 1; 44.8°, I = 5, hkl 2 2 2; 52.2°, I = 18, hkl 4 0 0; 57.3°, I = 3, hkl 3 3 1; 59.0°, I = 7, hkl 4 2 0; 65.2°, I = 37, hkl 4 2 2; 77.0°, I = 12, hkl 4 4 0; 82.6°, I = 4, hkl 6 0 0; 88.2°, I = 17, hkl 6 2 0

a = 7.006 Å, b = 7.006 Å, c = 7.006 Å
α = 90.00°, β = 90.00°, γ = 90.00°
Space group Fm-3m (No. 225)
Unique sites:
Gd  0.000  0.000  0.000
Mg  0.000  0.000  0.500
Au  0.250  0.250  0.250

***

[7]
Diffraction record for Gd3AuO6. The powder diffraction line list is calculated, not measured: it uses a cell relaxed with GGA-PBE and CuKα.
Lines closer than 0.1° are merged.

Main lines, sorted by position (2θ = 10–90°):
29.2°, I = 100, hkl 1 -1 0; 29.8°, I = 77, hkl 1 1 0; 30.0°, I = 99, hkl 0 1 -2; 30.2°, I = 96, hkl 0 1 2; 31.6°, I = 59, hkl 1 0 -2; 31.8°, I = 63, hkl 0 2 0; 39.7°, I = 33, hkl 1 0 2; 45.2°, I = 41, hkl -1 2 2; 45.6°, I = 30, hkl 1 2 -2; 51.1°, I = 29, hkl 1 -2 2; 52.4°, I = 22, hkl 0 0 4; 55.7°, I = 45, hkl -1 1 4

a = 3.686 Å, b = 5.635 Å, c = 7.155 Å
α = 90.30°, β = 102.53°, γ = 91.16°
Space group P-1 (No. 2)
Unique sites:
Gd  0.000  0.000  0.000
Gd  0.391  0.471  0.736
Au  0.000  0.000  0.500
O  0.124  0.796  0.289
O  0.158  0.311  0.389
O  0.480  0.744  0.975

***

[8]
Diffraction record for Gd3Sb4Au3. The powder diffraction line list is calculated, not measured: it uses a cell relaxed with GGA-PBE and CuKα.
Lines closer than 0.1° are merged.

Main lines, sorted by position (2θ = 10–90°):
21.8°, I = 24, hkl 2 1 1; 25.2°, I = 10, hkl 2 2 0; 33.5°, I = 100, hkl 3 2 1; 40.3°, I = 50, hkl 4 2 0; 44.4°, I = 14, hkl 4 2 2; 46.3°, I = 12, hkl 5 1 0; 49.9°, I = 16, hkl 5 2 1; 58.3°, I = 11, hkl 6 2 0; 64.5°, I = 12, hkl 4 4 4; 67.5°, I = 11, hkl 6 4 0; 69.0°, I = 13, hkl 5 5 2; 89.9°, I = 11, hkl 8 4 2

a = 10.005 Å, b = 10.005 Å, c = 10.005 Å
α = 90.00°, β = 90.00°, γ = 90.00°
Space group I-43d (No. 220)
Unique sites:
Gd  0.000  0.250  0.875
Sb  0.087  0.413  0.587
Au  0.000  0.250  0.375